For NdDy2PuO8, a crystal structure in Alexandria, relaxed with PBE gives the simulated powder XRD pattern in this record (Cu Kα X-rays).
Lines closer than 0.1° are merged.

Most intense lines, 2θ from 15° to 90°, in order of rising 2θ:
index	d [Å]	two_theta	I_rel
0 2 0	3.626	24.5	100
1 1 2	2.916	30.7	95
2 2 0	2.564	35.0	28
1 3 2	1.928	47.1	37
3 1 2	1.924	47.2	35
2 4 0	1.623	56.7	9
4 2 0	1.620	56.8	9
0 2 4	1.592	57.9	19
3 3 2	1.540	60.1	20
2 2 4	1.458	63.8	11

Structure:
Lattice parameters (Å, degrees): 7.240 7.266 7.090 90.00 90.00 90.00
Space group Cmmm (No. 65)
One atom of each set of equivalent atoms:
Nd1 0.000 0.000 0.000 x2
Dy1 0.000 0.500 0.243 x4
Pu1 0.000 0.000 0.500 x2
O1 0.000 0.186 0.285 x8
O2 0.184 0.500 0.000 x4
O3 0.223 0.500 0.500 x4


For NdDy2ReO8, a crystal structure in Alexandria, relaxed with PBE gives the simulated powder XRD pattern in this record (Cu Kα X-rays).
Lines closer than 0.1° are merged.

Most intense lines, 2θ from 15° to 90°, in order of rising 2θ:
index	d [Å]	two_theta	I_rel
0 2 0	3.600	24.7	54
2 0 0	3.584	24.8	55
1 1 2	2.846	31.4	100
2 2 0	2.540	35.3	30
1 3 2	1.897	47.9	37
3 1 2	1.893	48.1	39
2 4 0	1.609	57.3	10
2 0 4	1.549	59.7	19
3 3 2	1.519	61.0	21
2 2 4	1.423	65.6	12

Structure:
Lattice parameters (Å, degrees): 7.169 7.200 6.870 90.00 90.00 90.00
Space group Cmmm (No. 65)
One atom of each set of equivalent atoms:
Nd1 0.000 0.000 0.000 x2
Dy1 0.000 0.500 0.249 x4
Re1 0.000 0.000 0.500 x2
O1 0.000 0.264 0.500 x4
O2 0.000 0.315 0.000 x4
O3 0.184 0.000 0.299 x8


For NdDy2RuO8, a crystal structure in Alexandria, relaxed with PBE gives the simulated powder XRD pattern in this record (Cu Kα X-rays).
Lines closer than 0.1° are merged.

Most intense lines, 2θ from 15° to 90°, in order of rising 2θ:
index	d [Å]	two_theta	I_rel
1 0 -1	3.600	24.7	56
1 0 1	3.580	24.9	57
1 2 0	2.843	31.5	100
0 0 2	2.538	35.4	29
2 2 -1	1.897	48.0	38
2 2 1	1.891	48.1	39
1 0 -3	1.608	57.3	10
1 4 1	1.548	59.7	19
0 2 3	1.518	61.1	22
0 4 2	1.422	65.7	11

Structure:
Lattice parameters (Å, degrees): 5.072 6.864 5.081 90.00 90.32 90.00
Space group P2/m (No. 10)
One atom of each set of equivalent atoms:
Nd1 0.000 0.000 0.000 x1
Dy1 0.500 0.250 0.500 x2
Ru1 0.000 0.500 0.000 x1
O1 0.187 0.296 0.185 x4
O2 0.264 0.500 0.735 x2
O3 0.315 0.000 0.684 x2


For NdDyS2O, a crystal structure in Alexandria, relaxed with PBE gives the simulated powder XRD pattern in this record (Cu Kα X-rays).
Lines closer than 0.1° are merged.

Most intense lines, 2θ from 15° to 90°, in order of rising 2θ:
index	d [Å]	two_theta	I_rel
0 0 4	3.501	25.4	27
1 0 2	3.437	25.9	100
1 1 0	2.790	32.1	65
1 0 4	2.618	34.2	16
1 0 5	2.284	39.5	15
1 1 4	2.182	41.4	38
1 0 6	2.009	45.1	17
2 0 0	1.973	46.0	28
2 0 4	1.718	53.3	15
2 1 2	1.711	53.6	29

Structure:
Lattice parameters (Å, degrees): 3.945 3.945 14.003 90.00 90.00 90.00
Space group P4/nmm (No. 129, origin choice 2)
One atom of each set of equivalent atoms:
Nd1 0.250 0.250 0.088 x2
Dy1 0.250 0.250 0.622 x2
S1 0.250 0.250 0.410 x2
S2 0.250 0.250 0.800 x2
O1 0.250 0.750 0.000 x2